(1)
Ho2Sn3: simulated PXRD pattern (CuKα), based on a crystal structure in Alexandria, relaxed with PBE.
Kinematic intensities with the Lorentz-polarization factor, no thermal factor.

Atomic structure:
```
data_Ho2Sn3
_symmetry_space_group_name_H-M 'P 1'
_symmetry_Int_Tables_number 1
_cell_length_a 7.6374
_cell_length_b 7.6374
_cell_length_c 4.4873
_cell_angle_alpha 90.00
_cell_angle_beta 90.00
_cell_angle_gamma 90.00
loop_
_symmetry_equiv_pos_as_xyz
'x,y,z'
loop_
_atom_site_label
_atom_site_type_symbol
_atom_site_fract_x
_atom_site_fract_y
_atom_site_fract_z
Ho1 Ho 0.1440 0.6940 0.0000
Ho2 Ho 0.3060 0.1440 0.0000
Ho3 Ho 0.6940 0.8560 0.0000
Ho4 Ho 0.8560 0.3060 0.0000
Sn1 Sn 0.0000 0.0000 0.5000
Sn2 Sn 0.1734 0.3966 0.5000
Sn3 Sn 0.3966 0.8266 0.5000
Sn4 Sn 0.5000 0.5000 0.0000
Sn5 Sn 0.6034 0.1734 0.5000
Sn6 Sn 0.8266 0.6034 0.5000
```

Peak list (6 most intense, 10 to 90 degrees two-theta, most intense first)
two_theta, I_rel
32.96, 100
37.23, 32
55.94, 20
64.44, 19
40.19, 16
68.48, 13

(2)
Ho5Sn4: simulated PXRD pattern (CuKα), based on a crystal structure in Alexandria, relaxed with PBE.
Kinematic intensities with the Lorentz-polarization factor, no thermal factor.

Atomic structure:
```
data_Ho5Sn4
_symmetry_space_group_name_H-M 'P 1'
_symmetry_Int_Tables_number 1
_cell_length_a 7.2842
_cell_length_b 7.2842
_cell_length_c 7.2842
_cell_angle_alpha 100.06
_cell_angle_beta 100.06
_cell_angle_gamma 130.59
loop_
_symmetry_equiv_pos_as_xyz
'x,y,z'
loop_
_atom_site_label
_atom_site_type_symbol
_atom_site_fract_x
_atom_site_fract_y
_atom_site_fract_z
Ho1 Ho 0.0000 0.0000 0.0000
Ho2 Ho 0.2482 0.6093 0.8575
Ho3 Ho 0.3907 0.2482 0.6390
Ho4 Ho 0.6093 0.7518 0.3610
Ho5 Ho 0.7518 0.3907 0.1425
Sn1 Sn 0.0724 0.3250 0.3974
Sn2 Sn 0.3250 0.9276 0.2525
Sn3 Sn 0.6750 0.0724 0.7475
Sn4 Sn 0.9276 0.6750 0.6026
```

Peak list (6 most intense, 10 to 90 degrees two-theta, most intense first)
two_theta, I_rel
30.20, 100
42.60, 81
29.33, 69
32.24, 45
37.67, 41
53.11, 27

(3)
Tb3HoSn: simulated PXRD pattern (CuKα), based on a crystal structure in Alexandria, relaxed with PBE.
Kinematic intensities with the Lorentz-polarization factor, no thermal factor.

Atomic structure:
```
data_Tb3HoSn
_symmetry_space_group_name_H-M 'P 1'
_symmetry_Int_Tables_number 1
_cell_length_a 7.8307
_cell_length_b 7.8307
_cell_length_c 7.8307
_cell_angle_alpha 87.07
_cell_angle_beta 115.32
_cell_angle_gamma 128.57
loop_
_symmetry_equiv_pos_as_xyz
'x,y,z'
loop_
_atom_site_label
_atom_site_type_symbol
_atom_site_fract_x
_atom_site_fract_y
_atom_site_fract_z
Tb1 Tb 0.2349 0.0307 0.2656
Tb2 Tb 0.2349 0.4693 0.7042
Tb3 Tb 0.6878 0.5095 0.6783
Tb4 Tb 0.7651 0.5307 0.2958
Tb5 Tb 0.7651 0.9693 0.7343
Tb6 Tb 0.8311 0.0095 0.3217
Ho1 Ho 0.2786 0.7816 0.9970
Ho2 Ho 0.7845 0.2816 0.0030
Sn1 Sn 0.2061 0.0201 0.6860
Sn2 Sn 0.3342 0.5201 0.3140
```

Peak list (6 most intense, 10 to 90 degrees two-theta, most intense first)
two_theta, I_rel
33.97, 100
37.14, 74
31.52, 65
47.02, 61
30.67, 54
40.13, 54

(4)
Tb6Ho8Sn: simulated PXRD pattern (CuKα), based on a crystal structure in Alexandria, relaxed with PBE.
Kinematic intensities with the Lorentz-polarization factor, no thermal factor.

Atomic structure:
```
data_Tb6Ho8Sn
_symmetry_space_group_name_H-M 'P 1'
_symmetry_Int_Tables_number 1
_cell_length_a 9.1068
_cell_length_b 9.1068
_cell_length_c 6.7269
_cell_angle_alpha 90.00
_cell_angle_beta 90.00
_cell_angle_gamma 120.00
loop_
_symmetry_equiv_pos_as_xyz
'x,y,z'
loop_
_atom_site_label
_atom_site_type_symbol
_atom_site_fract_x
_atom_site_fract_y
_atom_site_fract_z
Tb1 Tb 0.0727 0.6814 0.1083
Tb2 Tb 0.3186 0.3913 0.1083
Tb3 Tb 0.3913 0.0727 0.8917
Tb4 Tb 0.6087 0.9273 0.1083
Tb5 Tb 0.6814 0.6087 0.8917
Tb6 Tb 0.9273 0.3186 0.8917
Ho1 Ho 0.0127 0.3219 0.3839
Ho2 Ho 0.3092 0.9873 0.3839
Ho3 Ho 0.3219 0.3092 0.6161
Ho4 Ho 0.3333 0.6667 0.6879
Ho5 Ho 0.6667 0.3333 0.3121
Ho6 Ho 0.6781 0.6908 0.3839
Ho7 Ho 0.6908 0.0127 0.6161
Ho8 Ho 0.9873 0.6781 0.6161
Sn1 Sn 0.0000 0.0000 0.0000
```

Peak list (6 most intense, 10 to 90 degrees two-theta, most intense first)
two_theta, I_rel
33.11, 100
34.11, 71
32.86, 45
26.20, 29
52.36, 19
48.27, 17

(5)
Tb12Ho7Sn: simulated PXRD pattern (CuKα), based on a crystal structure in Alexandria, relaxed with PBE.
Kinematic intensities with the Lorentz-polarization factor, no thermal factor.

Atomic structure:
```
data_Tb12Ho7Sn
_symmetry_space_group_name_H-M 'P 1'
_symmetry_Int_Tables_number 1
_cell_length_a 8.7150
_cell_length_b 8.7150
_cell_length_c 8.7150
_cell_angle_alpha 89.02
_cell_angle_beta 89.02
_cell_angle_gamma 89.02
loop_
_symmetry_equiv_pos_as_xyz
'x,y,z'
loop_
_atom_site_label
_atom_site_type_symbol
_atom_site_fract_x
_atom_site_fract_y
_atom_site_fract_z
Tb1 Tb 0.0087 0.8887 0.3347
Tb2 Tb 0.1113 0.6653 0.9913
Tb3 Tb 0.1255 0.4706 0.3410
Tb4 Tb 0.3347 0.0087 0.8887
Tb5 Tb 0.3410 0.1255 0.4706
Tb6 Tb 0.4706 0.3410 0.1255
Tb7 Tb 0.5294 0.6590 0.8745
Tb8 Tb 0.6590 0.8745 0.5294
Tb9 Tb 0.6653 0.9913 0.1113
Tb10 Tb 0.8745 0.5294 0.6590
Tb11 Tb 0.8887 0.3347 0.0087
Tb12 Tb 0.9913 0.1113 0.6653
Ho1 Ho 0.2160 0.7597 0.6266
Ho2 Ho 0.2403 0.3734 0.7840
Ho3 Ho 0.3734 0.7840 0.2403
Ho4 Ho 0.5000 0.5000 0.5000
Ho5 Ho 0.6266 0.2160 0.7597
Ho6 Ho 0.7597 0.6266 0.2160
Ho7 Ho 0.7840 0.2403 0.3734
Sn1 Sn 0.0000 0.0000 0.0000
```

Peak list (6 most intense, 10 to 90 degrees two-theta, most intense first)
two_theta, I_rel
31.02, 100
32.33, 71
32.67, 44
30.31, 29
33.75, 28
30.79, 24

(6)
Tb5Ho3Sn: simulated PXRD pattern (CuKα), based on a crystal structure in Alexandria, relaxed with PBE.
Kinematic intensities with the Lorentz-polarization factor, no thermal factor.

Atomic structure:
```
data_Tb5Ho3Sn
_symmetry_space_group_name_H-M 'P 1'
_symmetry_Int_Tables_number 1
_cell_length_a 7.9541
_cell_length_b 7.9541
_cell_length_c 11.0784
_cell_angle_alpha 95.21
_cell_angle_beta 95.21
_cell_angle_gamma 59.80
loop_
_symmetry_equiv_pos_as_xyz
'x,y,z'
loop_
_atom_site_label
_atom_site_type_symbol
_atom_site_fract_x
_atom_site_fract_y
_atom_site_fract_z
Tb1 Tb 0.0031 0.0031 0.3624
Tb2 Tb 0.1670 0.8330 0.0000
Tb3 Tb 0.1711 0.5796 0.2384
Tb4 Tb 0.2629 0.2629 0.9573
Tb5 Tb 0.4204 0.8289 0.7616
Tb6 Tb 0.5796 0.1711 0.2384
Tb7 Tb 0.7371 0.7371 0.0427
Tb8 Tb 0.8289 0.4204 0.7616
Tb9 Tb 0.8330 0.1670 0.0000
Tb10 Tb 0.9969 0.9969 0.6376
Ho1 Ho 0.1676 0.1676 0.2129
Ho2 Ho 0.2374 0.2374 0.5318
Ho3 Ho 0.5000 0.5000 0.0000
Ho4 Ho 0.5000 0.5000 0.5000
Ho5 Ho 0.7626 0.7626 0.4682
Ho6 Ho 0.8324 0.8324 0.7871
Sn1 Sn 0.4062 0.4062 0.7395
Sn2 Sn 0.5938 0.5938 0.2605
```

Peak list (6 most intense, 10 to 90 degrees two-theta, most intense first)
two_theta, I_rel
27.64, 100
32.16, 73
29.20, 56
34.59, 47
22.42, 45
36.79, 44

(7)
Ho6Tc2Sn: simulated PXRD pattern (CuKα), based on a crystal structure in Alexandria, relaxed with PBE.
Kinematic intensities with the Lorentz-polarization factor, no thermal factor.

Atomic structure:
```
data_Ho6Tc2Sn
_symmetry_space_group_name_H-M 'P 1'
_symmetry_Int_Tables_number 1
_cell_length_a 8.4919
_cell_length_b 8.4919
_cell_length_c 8.4919
_cell_angle_alpha 112.63
_cell_angle_beta 111.89
_cell_angle_gamma 104.03
loop_
_symmetry_equiv_pos_as_xyz
'x,y,z'
loop_
_atom_site_label
_atom_site_type_symbol
_atom_site_fract_x
_atom_site_fract_y
_atom_site_fract_z
Ho1 Ho 0.0371 0.2446 0.7925
Ho2 Ho 0.1864 0.2804 0.4668
Ho3 Ho 0.1864 0.7196 0.9060
Ho4 Ho 0.3341 0.0203 0.6862
Ho5 Ho 0.3341 0.6479 0.3138
Ho6 Ho 0.4521 0.2446 0.2075
Ho7 Ho 0.5479 0.7554 0.7925
Ho8 Ho 0.6659 0.3521 0.6862
Ho9 Ho 0.6659 0.9797 0.3138
Ho10 Ho 0.8136 0.2804 0.0940
Ho11 Ho 0.8136 0.7196 0.5332
Ho12 Ho 0.9629 0.7554 0.2075
Tc1 Tc 0.1152 0.6152 0.5000
Tc2 Tc 0.3264 0.0000 0.3264
Tc3 Tc 0.6736 0.0000 0.6736
Tc4 Tc 0.8848 0.3848 0.5000
Sn1 Sn 0.0000 0.0000 0.0000
Sn2 Sn 0.5000 0.5000 0.0000
```

Peak list (6 most intense, 10 to 90 degrees two-theta, most intense first)
two_theta, I_rel
31.75, 100
34.43, 56
35.19, 53
33.35, 40
39.35, 35
35.31, 29

(8)
Ho4SnTe2: simulated PXRD pattern (CuKα), based on a crystal structure in Alexandria, relaxed with PBE.
Kinematic intensities with the Lorentz-polarization factor, no thermal factor.

Atomic structure:
```
data_Ho4SnTe2
_symmetry_space_group_name_H-M 'P 1'
_symmetry_Int_Tables_number 1
_cell_length_a 9.5327
_cell_length_b 8.2000
_cell_length_c 8.1770
_cell_angle_alpha 71.19
_cell_angle_beta 54.52
_cell_angle_gamma 54.29
loop_
_symmetry_equiv_pos_as_xyz
'x,y,z'
loop_
_atom_site_label
_atom_site_type_symbol
_atom_site_fract_x
_atom_site_fract_y
_atom_site_fract_z
Ho1 Ho 0.1200 0.3188 0.3206
Ho2 Ho 0.2594 0.6794 0.6812
Ho3 Ho 0.3188 0.1200 0.7406
Ho4 Ho 0.3206 0.7406 0.1200
Ho5 Ho 0.6794 0.2594 0.8800
Ho6 Ho 0.6812 0.8800 0.2594
Ho7 Ho 0.7406 0.3206 0.3188
Ho8 Ho 0.8800 0.6812 0.6794
Sn1 Sn 0.3750 0.3750 0.3750
Sn2 Sn 0.6250 0.6250 0.6250
Te1 Te 0.0000 0.0000 0.0000
Te2 Te 0.0000 0.0000 0.5000
Te3 Te 0.0000 0.5000 0.0000
Te4 Te 0.5000 0.0000 0.0000
```

Peak list (6 most intense, 10 to 90 degrees two-theta, most intense first)
two_theta, I_rel
30.32, 100
29.71, 46
37.75, 46
26.50, 42
26.39, 41
35.23, 32